Theoretical X-ray diffraction stick pattern
Compound: BaO2
Radiation: Cu Kα, 1.54184 Å
Structure: a cell relaxed with GGA-PBE
No peak broadening, texture or thermal motion is included.

Most intense lines, 5 to 70 degrees two-theta, by intensity:
two_theta, I_rel
26.4, 100
32.8, 72
42.0, 50
25.5, 49
45.5, 44
54.7, 29
67.5, 26
47.0, 25

Cell and atoms:
a b c (Å): 3.8659 3.8659 6.9783
angles (deg): 90.00 90.00 90.00
Atoms (fractional coordinates):
Ba 0.0000 0.0000 0.0000
Ba 0.5000 0.5000 0.5000
O 0.0000 0.0000 0.3923
O 0.0000 0.0000 0.6077
O 0.5000 0.5000 0.1077
O 0.5000 0.5000 0.8923